(1)
Structure and simulated XRD peak list of LaSi2BOs (a PBE-relaxed structure; CuKα).
Neutral-atom scattering factors, no anomalous dispersion.

Atomic structure:
Unit cell a=5.121 b=5.121 c=4.295 alpha=90.00 beta=90.00 gamma=90.00
Space group P4/mmm (No. 123)
Inequivalent atoms, fractional coordinates:
La (0.000, 0.000, 0.000) x1
Si (0.000, 0.500, 0.000) x2
B (0.000, 0.000, 0.500) x1
Os (0.500, 0.500, 0.500) x1

Main lines, low angle first (15° ≤ 2θ ≤ 90°):
| 2θ (°) | I (rel.) |
| --- | --- |
| 24.58 | 48 |
| 27.10 | 100 |
| 35.04 | 39 |
| 42.08 | 12 |
| 44.85 | 52 |
| 49.34 | 15 |
| 50.40 | 14 |
| 55.88 | 20 |
| 58.15 | 12 |
| 67.68 | 11 |
| 69.73 | 14 |
| 78.84 | 10 |

(2)
Structure and simulated XRD peak list of La2BPd6 (a PBE-relaxed structure; CuKα).
Neutral-atom scattering factors, no anomalous dispersion.

Atomic structure:
Unit cell a=5.9128 b=5.9128 c=5.3682 alpha=90.00 beta=90.00 gamma=120.00
Space group P-3m1 (No. 164)
Inequivalent atoms, fractional coordinates:
La (0.3333, 0.6667, 0.2665) x2
B (0.0000, 0.0000, 0.5000) x1
Pd (0.1628, 0.3255, 0.7614) x6

Main lines, low angle first (15° ≤ 2θ ≤ 90°):
| 2θ (°) | I (rel.) |
| --- | --- |
| 33.38 | 33 |
| 35.05 | 22 |
| 38.97 | 100 |
| 49.18 | 17 |
| 62.87 | 16 |
| 63.42 | 22 |
| 70.12 | 4 |
| 73.08 | 20 |
| 74.06 | 2 |
| 76.50 | 13 |
| 80.87 | 3 |
| 83.70 | 4 |